(1)
This entry pairs a crystal structure of Li4Cu5F17 with its theoretical PXRD pattern. Radiation: CuKα. Structure: a cell relaxed with PBE.
Lines closer than 0.1° are merged.

Structure:
Unit cell a=6.4531 b=9.4975 c=11.3778 alpha=103.39 beta=94.94 gamma=109.51
Sites, in units of the cell vectors:
Li 0.0774 0.2797 0.0516
Li 0.2090 0.4175 0.8247
Li 0.2564 0.2350 0.4681
Li 0.3142 0.0685 0.1432
Li 0.6858 0.9315 0.8568
Li 0.7436 0.7650 0.5319
Li 0.7910 0.5825 0.1753
Li 0.9226 0.7203 0.9484
Cu 0.1912 0.7148 0.6943
Cu 0.2267 0.0417 0.8438
Cu 0.2475 0.5494 0.3401
Cu 0.2792 0.8739 0.4853
Cu 0.3349 0.6856 0.1207
Cu 0.6651 0.3144 0.8793
Cu 0.7208 0.1261 0.5147
Cu 0.7525 0.4506 0.6599
Cu 0.7733 0.9583 0.1562
Cu 0.8088 0.2852 0.3057
F 0.0206 0.1674 0.5550
F 0.0330 0.6660 0.0844
F 0.0693 0.9992 0.2197
F 0.0782 0.5049 0.7137
F 0.1321 0.3389 0.3593
F 0.1581 0.8368 0.8708
F 0.2083 0.1304 0.0098
F 0.2163 0.6608 0.5085
F 0.2586 0.9288 0.6781
F 0.2681 0.4848 0.1572
F 0.3098 0.7501 0.3012
F 0.3402 0.2552 0.8217
F 0.3553 0.6036 0.9571
F 0.4012 0.0828 0.4658
F 0.4435 0.9029 0.1103
F 0.4543 0.4060 0.6036
F 0.4908 0.7540 0.7393
F 0.5092 0.2460 0.2607
F 0.5457 0.5940 0.3964
F 0.5565 0.0971 0.8897
F 0.5988 0.9172 0.5342
F 0.6447 0.3964 0.0429
F 0.6598 0.7448 0.1783
F 0.6902 0.2499 0.6988
F 0.7319 0.5152 0.8428
F 0.7414 0.0712 0.3219
F 0.7837 0.3392 0.4915
F 0.7917 0.8696 0.9902
F 0.8419 0.1632 0.1292
F 0.8679 0.6611 0.6407
F 0.9218 0.4951 0.2863
F 0.9307 0.0008 0.7803
F 0.9670 0.3340 0.9156
F 0.9794 0.8326 0.4450

The 6 most intense peaks (5 to 70 degrees two-theta), low angle first:
14.62 deg, d = 6.058 Å, rel. 62; 16.64 deg, d = 5.328 Å, rel. 100; 23.82 deg, d = 3.736 Å, rel. 62; 28.23 deg, d = 3.161 Å, rel. 38; 40.61 deg, d = 2.221 Å, rel. 55; 44.44 deg, d = 2.038 Å, rel. 93

(2)
This entry pairs a crystal structure of CeInAu2 with its theoretical PXRD pattern. Radiation: CuKα. Structure: a cell relaxed with PBE.
Lines closer than 0.1° are merged.

Structure:
Unit cell a=7.1470 b=7.1470 c=7.1470 alpha=90.00 beta=90.00 gamma=90.00
Sites, in units of the cell vectors:
Ce 0.0000 0.0000 0.0000
Ce 0.0000 0.5000 0.5000
Ce 0.5000 0.0000 0.5000
Ce 0.5000 0.5000 0.0000
In 0.0000 0.0000 0.5000
In 0.0000 0.5000 0.0000
In 0.5000 0.0000 0.0000
In 0.5000 0.5000 0.5000
Au 0.2500 0.2500 0.2500
Au 0.2500 0.2500 0.7500
Au 0.2500 0.7500 0.2500
Au 0.2500 0.7500 0.7500
Au 0.7500 0.2500 0.2500
Au 0.7500 0.2500 0.7500
Au 0.7500 0.7500 0.2500
Au 0.7500 0.7500 0.7500

The 6 most intense peaks (5 to 70 degrees two-theta), low angle first:
24.92 deg, d = 3.573 Å, rel. 5; 35.53 deg, d = 2.527 Å, rel. 100; 43.88 deg, d = 2.063 Å, rel. 2; 51.12 deg, d = 1.787 Å, rel. 18; 57.68 deg, d = 1.598 Å, rel. 3; 63.80 deg, d = 1.459 Å, rel. 37

(3)
This entry pairs a crystal structure of Tl2S with its theoretical PXRD pattern. Radiation: CuKα. Structure: a cell relaxed with PBE.
Lines closer than 0.1° are merged.

Structure:
Unit cell a=9.6944 b=9.6944 c=9.6944 alpha=81.52 beta=81.52 gamma=81.52
Sites, in units of the cell vectors:
Tl 0.0503 0.7496 0.7197
Tl 0.0582 0.4219 0.0795
Tl 0.0795 0.0582 0.4219
Tl 0.1000 0.4398 0.4614
Tl 0.1036 0.1335 0.8044
Tl 0.1335 0.8044 0.1036
Tl 0.3892 0.7171 0.4141
Tl 0.4141 0.3892 0.7171
Tl 0.4219 0.0795 0.0582
Tl 0.4320 0.7705 0.7975
Tl 0.4398 0.4614 0.1000
Tl 0.4614 0.1000 0.4398
Tl 0.7171 0.4141 0.3892
Tl 0.7197 0.0503 0.7496
Tl 0.7496 0.7197 0.0503
Tl 0.7705 0.7975 0.4320
Tl 0.7975 0.4320 0.7705
Tl 0.8044 0.1036 0.1335
S 0.0795 0.7479 0.4083
S 0.1090 0.4445 0.7709
S 0.1147 0.1147 0.1147
S 0.4070 0.4070 0.4070
S 0.4083 0.0795 0.7479
S 0.4445 0.7709 0.1090
S 0.7398 0.7398 0.7398
S 0.7479 0.4083 0.0795
S 0.7709 0.1090 0.4445

The 6 most intense peaks (5 to 70 degrees two-theta), low angle first:
28.02 deg, d = 3.185 Å, rel. 19; 28.15 deg, d = 3.170 Å, rel. 100; 37.46 deg, d = 2.401 Å, rel. 20; 42.87 deg, d = 2.110 Å, rel. 23; 49.66 deg, d = 1.836 Å, rel. 18; 52.03 deg, d = 1.758 Å, rel. 33

(4)
This entry pairs a crystal structure of SrMgSn with its theoretical PXRD pattern. Radiation: CuKα. Structure: a cell relaxed with PBE.
Lines closer than 0.1° are merged.

Structure:
Unit cell a=8.2353 b=4.9027 c=8.9419 alpha=90.00 beta=90.00 gamma=90.00
Sites, in units of the cell vectors:
Sr 0.0113 0.2500 0.1882
Sr 0.4887 0.7500 0.6882
Sr 0.5113 0.2500 0.3118
Sr 0.9887 0.7500 0.8118
Mg 0.1464 0.2500 0.5669
Mg 0.3536 0.7500 0.0669
Mg 0.6464 0.2500 0.9331
Mg 0.8536 0.7500 0.4331
Sn 0.2225 0.7500 0.3916
Sn 0.2775 0.2500 0.8916
Sn 0.7225 0.7500 0.1084
Sn 0.7775 0.2500 0.6084

The 6 most intense peaks (5 to 70 degrees two-theta), low angle first:
22.63 deg, d = 3.929 Å, rel. 39; 23.34 deg, d = 3.811 Å, rel. 44; 29.13 deg, d = 3.066 Å, rel. 40; 30.05 deg, d = 2.974 Å, rel. 100; 35.24 deg, d = 2.547 Å, rel. 38; 36.66 deg, d = 2.451 Å, rel. 34

(5)
This entry pairs a crystal structure of CsU2F9 with its theoretical PXRD pattern. Radiation: CuKα. Structure: a cell relaxed with PBE.
Lines closer than 0.1° are merged.

Structure:
Unit cell a=8.6238 b=8.6238 c=8.7496 alpha=115.33 beta=115.33 gamma=48.75
Sites, in units of the cell vectors:
Cs 0.1082 0.8918 0.5000
Cs 0.8918 0.1082 0.0000
U 0.1888 0.3782 0.9512
U 0.3782 0.1888 0.4512
U 0.6180 0.8042 0.0415
U 0.8042 0.6180 0.5415
F 0.0237 0.6515 0.8238
F 0.0573 0.2661 0.3855
F 0.1217 0.5492 0.5282
F 0.2661 0.0573 0.8855
F 0.2699 0.3674 0.2378
F 0.3394 0.9942 0.1821
F 0.3674 0.2699 0.7378
F 0.4408 0.9016 0.4758
F 0.4764 0.6431 0.9135
F 0.5492 0.1217 0.0282
F 0.6431 0.4764 0.4135
F 0.6430 0.7386 0.7666
F 0.6515 0.0237 0.3238
F 0.7304 0.9574 0.6150
F 0.7386 0.6430 0.2666
F 0.9016 0.4408 0.9758
F 0.9574 0.7304 0.1150
F 0.9942 0.3394 0.6821

The 6 most intense peaks (5 to 70 degrees two-theta), low angle first:
12.77 deg, d = 6.935 Å, rel. 99; 22.99 deg, d = 3.869 Å, rel. 100; 25.34 deg, d = 3.515 Å, rel. 66; 27.59 deg, d = 3.233 Å, rel. 66; 41.83 deg, d = 2.160 Å, rel. 48; 43.36 deg, d = 2.087 Å, rel. 50

(6)
This entry pairs a crystal structure of Li3Ag with its theoretical PXRD pattern. Radiation: CuKα. Structure: a cell relaxed with PBE.
Lines closer than 0.1° are merged.

Structure:
Unit cell a=4.2702 b=4.2702 c=7.5432 alpha=90.00 beta=90.00 gamma=90.00
Sites, in units of the cell vectors:
Li 0.0000 0.0000 0.0000
Li 0.0000 0.5000 0.2500
Li 0.0000 0.5000 0.7500
Li 0.5000 0.0000 0.2500
Li 0.5000 0.0000 0.7500
Li 0.5000 0.5000 0.5000
Ag 0.0000 0.0000 0.5000
Ag 0.5000 0.5000 0.0000

The 6 most intense peaks (5 to 70 degrees two-theta), low angle first:
23.59 deg, d = 3.772 Å, rel. 26; 23.95 deg, d = 3.716 Å, rel. 100; 29.58 deg, d = 3.019 Å, rel. 29; 38.18 deg, d = 2.357 Å, rel. 41; 41.69 deg, d = 2.167 Å, rel. 23; 49.22 deg, d = 1.851 Å, rel. 27

(7)
This entry pairs a crystal structure of Li2Fe2S3 with its theoretical PXRD pattern. Radiation: CuKα. Structure: a cell relaxed with PBE.
Lines closer than 0.1° are merged.

Structure:
Unit cell a=6.6036 b=6.5618 c=6.4088 alpha=90.00 beta=115.61 gamma=90.00
Sites, in units of the cell vectors:
Li 0.0695 0.1609 0.3727
Li 0.0695 0.3391 0.8727
Li 0.9305 0.6609 0.1273
Li 0.9305 0.8391 0.6273
Fe 0.3515 0.6139 0.5572
Fe 0.3515 0.8861 0.0572
Fe 0.6485 0.1139 0.9428
Fe 0.6485 0.3861 0.4428
S 0.0000 0.0000 0.0000
S 0.0000 0.5000 0.5000
S 0.3343 0.5572 0.1853
S 0.3343 0.9428 0.6853
S 0.6657 0.0572 0.3147
S 0.6657 0.4428 0.8147

The 6 most intense peaks (5 to 70 degrees two-theta), low angle first:
14.88 deg, d = 5.955 Å, rel. 49; 20.14 deg, d = 4.410 Å, rel. 84; 20.48 deg, d = 4.337 Å, rel. 100; 33.04 deg, d = 2.711 Å, rel. 38; 45.73 deg, d = 1.984 Å, rel. 44; 49.28 deg, d = 1.849 Å, rel. 38

(8)
This entry pairs a crystal structure of Ti2OsRu with its theoretical PXRD pattern. Radiation: CuKα. Structure: a cell relaxed with PBE.
Lines closer than 0.1° are merged.

Structure:
Unit cell a=6.1830 b=6.1830 c=6.1830 alpha=90.00 beta=90.00 gamma=90.00
Sites, in units of the cell vectors:
Ti 0.2500 0.2500 0.2500
Ti 0.2500 0.2500 0.7500
Ti 0.2500 0.7500 0.2500
Ti 0.2500 0.7500 0.7500
Ti 0.7500 0.2500 0.2500
Ti 0.7500 0.2500 0.7500
Ti 0.7500 0.7500 0.2500
Ti 0.7500 0.7500 0.7500
Os 0.0000 0.0000 0.0000
Os 0.0000 0.5000 0.5000
Os 0.5000 0.0000 0.5000
Os 0.5000 0.5000 0.0000
Ru 0.0000 0.0000 0.5000
Ru 0.0000 0.5000 0.0000
Ru 0.5000 0.0000 0.0000
Ru 0.5000 0.5000 0.5000

The 6 most intense peaks (5 to 70 degrees two-theta), low angle first:
24.94 deg, d = 3.570 Å, rel. 11; 28.88 deg, d = 3.091 Å, rel. 33; 41.30 deg, d = 2.186 Å, rel. 100; 51.18 deg, d = 1.785 Å, rel. 10; 59.83 deg, d = 1.546 Å, rel. 16; 67.78 deg, d = 1.383 Å, rel. 13

(9)
This entry pairs a crystal structure of TiZnSnP3O12 with its theoretical PXRD pattern. Radiation: CuKα. Structure: a cell relaxed with PBE.
Lines closer than 0.1° are merged.

Structure:
Unit cell a=8.6923 b=8.6923 c=8.6923 alpha=60.57 beta=60.57 gamma=60.57
Sites, in units of the cell vectors:
Ti 0.0000 0.0000 0.0000
Ti 0.5000 0.5000 0.5000
Zn 0.1400 0.1400 0.1400
Zn 0.6400 0.6400 0.6400
Sn 0.2902 0.2902 0.2902
Sn 0.7902 0.7902 0.7902
P 0.1005 0.3940 0.6946
P 0.1946 0.8940 0.6005
P 0.3940 0.6946 0.1005
P 0.6005 0.1946 0.8940
P 0.6946 0.1005 0.3940
P 0.8940 0.6005 0.1946
O 0.0407 0.8309 0.6325
O 0.0532 0.4038 0.2107
O 0.0857 0.2327 0.8861
O 0.1325 0.3309 0.5407
O 0.1483 0.9597 0.7562
O 0.2107 0.0532 0.4038
O 0.2327 0.8861 0.0857
O 0.2562 0.4597 0.6483
O 0.3309 0.5407 0.1325
O 0.3861 0.7327 0.5857
O 0.4038 0.2107 0.0532
O 0.4597 0.6483 0.2562
O 0.5407 0.1325 0.3309
O 0.5532 0.7107 0.9038
O 0.5857 0.3861 0.7327
O 0.6325 0.0407 0.8309
O 0.6483 0.2561 0.4597
O 0.7107 0.9038 0.5532
O 0.7327 0.5857 0.3861
O 0.7562 0.1483 0.9597
O 0.8309 0.6325 0.0407
O 0.8861 0.0857 0.2327
O 0.9038 0.5532 0.7107
O 0.9597 0.7561 0.1483

The 6 most intense peaks (5 to 70 degrees two-theta), low angle first:
20.26 deg, d = 4.384 Å, rel. 100; 23.89 deg, d = 3.725 Å, rel. 61; 32.55 deg, d = 2.751 Å, rel. 78; 35.47 deg, d = 2.531 Å, rel. 43; 48.90 deg, d = 1.863 Å, rel. 30; 55.47 deg, d = 1.657 Å, rel. 30

(10)
This entry pairs a crystal structure of MgNb4I4O8 with its theoretical PXRD pattern. Radiation: CuKα. Structure: a cell relaxed with PBE.
Lines closer than 0.1° are merged.

Structure:
Unit cell a=4.0970 b=3.8275 c=21.9050 alpha=90.00 beta=90.14 gamma=90.00
Sites, in units of the cell vectors:
Mg 0.0000 0.0000 0.0000
Nb 0.0573 0.5000 0.4616
Nb 0.4993 0.5000 0.9543
Nb 0.5032 0.0000 0.0977
Nb 0.9457 0.0000 0.5897
I 0.0108 0.5000 0.6941
I 0.4979 0.0000 0.8525
I 0.5051 0.5000 0.1986
I 0.9918 0.0000 0.3576
O 0.0038 0.0000 0.0921
O 0.0056 0.5000 0.5569
O 0.4958 0.5000 0.4561
O 0.4999 0.0000 0.9928
O 0.5037 0.5000 0.0576
O 0.5071 0.0000 0.5957
O 0.9966 0.0000 0.4947
O 0.9990 0.5000 0.9591

The 6 most intense peaks (5 to 70 degrees two-theta), low angle first:
22.07 deg, d = 4.027 Å, rel. 84; 24.91 deg, d = 3.574 Å, rel. 29; 28.45 deg, d = 3.137 Å, rel. 100; 32.71 deg, d = 2.738 Å, rel. 28; 38.18 deg, d = 2.357 Å, rel. 49; 53.42 deg, d = 1.715 Å, rel. 29